This entry pairs a crystal structure of Tm6Rh5 with its simulated powder XRD pattern. Radiation: Cu Kα (λ = 1.5418 Å). Structure: a cell relaxed with PBE.
Lines closer than 0.1° are merged.

Principal peaks in the range 10 to 90 degrees two-theta, by intensity:
hkl	2theta	I_rel
2 2 1	37.9	100
6 0 0	37.6	25
2 0 -2	37.7	25
8 2 1	68.0	18
0 2 3	68.2	18
4 0 2	54.3	18

Structure:
```
data_Tm6Rh5
_chemical_formula_sum 'Tm12 Rh10'
_symmetry_space_group_name_H-M 'C 1 2/m 1'
_symmetry_Int_Tables_number 12
_symmetry_space_group_name_Hall '-C 2y'
_cell_length_a 15.134
_cell_length_b 6.686
_cell_length_c 4.771
_cell_angle_alpha 90.00
_cell_angle_beta 108.29
_cell_angle_gamma 90.00
loop_
_atom_site_label
_atom_site_fract_x
_atom_site_fract_y
_atom_site_fract_z
Tm1 0.000 0.249 0.000
Tm2 0.166 0.248 0.666
Rh1 0.000 0.500 0.500
Rh2 0.165 0.500 0.164
Rh3 0.170 0.000 0.170
```



This entry pairs a crystal structure of Tm7Rh3 with its simulated powder XRD pattern. Radiation: Cu Kα (λ = 1.5418 Å). Structure: a cell relaxed with PBE.
Lines closer than 0.1° are merged.

Principal peaks in the range 10 to 90 degrees two-theta, by intensity:
hkl	2theta	I_rel
2 1 1	31.9	100
3 0 1	35.4	54
1 0 2	31.3	44
2 0 2	36.5	40
2 2 0	37.3	32
3 0 3	56.1	23

Structure:
```
data_Tm7Rh3
_chemical_formula_sum 'Tm14 Rh6'
_symmetry_space_group_name_H-M 'P 63 m c'
_symmetry_Int_Tables_number 186
_symmetry_space_group_name_Hall 'P 6c -2c'
_cell_length_a 9.6527
_cell_length_b 9.6527
_cell_length_c 6.0888
_cell_angle_alpha 90.00
_cell_angle_beta 90.00
_cell_angle_gamma 120.00
loop_
_atom_site_label
_atom_site_fract_x
_atom_site_fract_y
_atom_site_fract_z
Tm1 0.0827 0.5414 0.0000
Tm2 0.1235 0.2471 0.6961
Tm3 0.3333 0.6667 0.4928
Rh1 0.1900 0.3800 0.2667
```



This entry pairs a crystal structure of Tm3Rh2 with its simulated powder XRD pattern. Radiation: Cu Kα (λ = 1.5418 Å). Structure: a cell relaxed with PBE.
Lines closer than 0.1° are merged.

Principal peaks in the range 10 to 90 degrees two-theta, by intensity:
hkl	2theta	I_rel
1 1 2	37.5	100
3 1 0	38.2	95
2 0 1	26.5	61
2 0 -2	37.2	51
4 0 2	54.6	51
0 2 0	38.5	46

Structure:
```
data_Tm3Rh2
_chemical_formula_sum 'Tm6 Rh4'
_symmetry_space_group_name_H-M 'C 1 2/m 1'
_symmetry_Int_Tables_number 12
_symmetry_space_group_name_Hall '-C 2y'
_cell_length_a 8.182
_cell_length_b 4.674
_cell_length_c 5.959
_cell_angle_alpha 90.00
_cell_angle_beta 90.33
_cell_angle_gamma 90.00
loop_
_atom_site_label
_atom_site_fract_x
_atom_site_fract_y
_atom_site_fract_z
Tm1 0.000 0.000 0.000
Tm2 0.166 0.500 0.665
Rh1 0.167 0.500 0.167
```



This entry pairs a crystal structure of Tm5Rh6 with its simulated powder XRD pattern. Radiation: Cu Kα (λ = 1.5418 Å). Structure: a cell relaxed with PBE.
Lines closer than 0.1° are merged.

Principal peaks in the range 10 to 90 degrees two-theta, by intensity:
hkl	2theta	I_rel
2 2 1	38.2	100
2 0 -2	39.1	25
6 0 0	38.7	21
0 4 0	54.1	9
2 4 -2	68.7	9
5 1 0	34.8	9

Structure:
```
data_Tm5Rh6
_chemical_formula_sum 'Tm10 Rh12'
_symmetry_space_group_name_H-M 'C 1 2/m 1'
_symmetry_Int_Tables_number 12
_symmetry_space_group_name_Hall '-C 2y'
_cell_length_a 14.672
_cell_length_b 6.784
_cell_length_c 4.609
_cell_angle_alpha 90.00
_cell_angle_beta 108.07
_cell_angle_gamma 90.00
loop_
_atom_site_label
_atom_site_fract_x
_atom_site_fract_y
_atom_site_fract_z
Tm1 0.000 0.000 0.000
Tm2 0.144 0.500 0.645
Tm3 0.176 0.000 0.675
Rh1 0.000 0.227 0.500
Rh2 0.168 0.244 0.168
```